# 1
Diffraction record for MgTe2Mo2W2Se4S2. The powder diffraction line list is computed, not measured: it uses a structure optimized by DFT (GGA-PBE) and Cu Kα, 1.54184 Å.
Intensities are scaled so that the largest is 100.

Structure:
```
MgTe2Mo2W2Se4S2
1.0
3.336 0.000 0.000
-1.668 2.889 0.000
-0.002 -0.002 37.068
Mg Te Mo W Se S
1 2 2 2 4 2
Cartesian
0.000 0.000 0.000
-0.210 1.933 26.792
-0.209 1.934 30.587
-0.209 1.933 21.709
3.126 0.008 28.691
-0.209 1.935 7.776
3.126 0.008 14.754
-0.209 1.934 13.078
-0.209 1.934 16.432
3.127 0.009 6.100
3.127 0.009 9.455
3.127 0.008 20.192
3.127 0.008 23.227
```

Principal peaks in the range 10 to 90 degrees two-theta, sorted by position:
(hkl)	d (Å)	2θ (°)	Rel. int.
0 0 5	7.414	11.94	100.0
0 0 6	6.178	14.34	19.0
1 0 0	2.888	30.97	40.6
1 0 8	2.451	36.66	87.7
1 0 -10	2.279	39.55	15.1
1 0 13	2.029	44.65	43.9
1 0 -14	1.952	46.53	14.7
1 1 0	1.668	55.06	27.7

***

# 2
Diffraction record for BaTm2ZnO5. The powder diffraction line list is computed, not measured: it uses a structure optimized by DFT (GGA-PBE) and Cu Kα, 1.54184 Å.
Intensities are scaled so that the largest is 100.

Structure:
```
BaTm2ZnO5
1.0
12.304 0.000 0.000
0.000 5.702 0.000
0.000 0.000 7.065
Ba Tm Zn O
4 8 4 20
Cartesian
1.254 1.426 0.552
4.898 4.277 4.085
7.405 1.426 2.980
11.050 4.277 6.512
0.914 4.277 2.830
2.561 1.426 4.376
3.590 4.277 0.844
5.237 1.426 6.362
7.066 4.277 0.703
8.713 1.426 6.221
9.742 4.277 2.689
11.389 1.426 4.235
1.849 4.277 5.712
4.303 1.426 2.180
8.000 4.277 4.885
10.455 1.426 1.353
0.815 0.003 4.672
0.815 2.849 4.672
1.251 4.277 0.560
2.762 2.858 2.552
2.762 5.695 2.552
3.389 0.007 6.084
3.389 2.844 6.084
4.901 1.426 4.092
5.337 5.700 1.140
5.337 2.854 1.140
6.967 0.003 5.925
6.967 2.849 5.925
7.403 4.277 2.973
8.914 2.858 0.981
8.914 5.695 0.981
9.541 0.007 4.513
9.541 2.844 4.513
11.052 1.426 6.505
11.488 5.700 2.393
11.488 2.854 2.393
```

Principal peaks in the range 10 to 90 degrees two-theta, sorted by position:
(hkl)	d (Å)	2θ (°)	Rel. int.
3 1 1	3.012	29.66	100.0
1 1 2	2.917	30.65	82.0
0 2 0	2.851	31.37	54.4
4 0 1	2.820	31.73	22.8
3 1 2	2.423	37.10	17.8
4 2 1	2.005	45.22	32.2
3 3 1	1.675	54.79	18.4
4 2 3	1.564	59.08	17.3